Entry 1:
# K8HfSe6
Theoretical powder X-ray diffraction pattern, CuKα. Input: a GGA-PBE-relaxed structure.
Peak positions follow from Bragg's law for the DFT cell and can differ from measured ones.

Structure:
a b c (Å): 10.018 8.867 12.493
angles (deg): 90.00 90.00 90.00
Element x y z (fractional)
1 K 0.000 0.146 0.000
2 K 0.000 0.175 0.517
3 K 0.172 0.516 0.162
4 K 0.181 0.672 0.863
5 K 0.196 0.940 0.240
6 K 0.304 0.060 0.740
7 K 0.319 0.328 0.363
8 K 0.328 0.484 0.662
9 K 0.500 0.825 0.017
10 K 0.500 0.854 0.500
11 K 0.672 0.484 0.662
12 K 0.681 0.328 0.363
13 K 0.696 0.060 0.740
14 K 0.804 0.940 0.240
15 K 0.819 0.672 0.863
16 K 0.828 0.516 0.162
17 Hf 0.000 0.688 0.554
18 Hf 0.500 0.312 0.054
19 Se 0.000 0.234 0.268
20 Se 0.000 0.460 0.678
21 Se 0.000 0.786 0.059
22 Se 0.000 0.905 0.688
23 Se 0.209 0.684 0.441
24 Se 0.291 0.316 0.941
25 Se 0.500 0.095 0.188
26 Se 0.500 0.214 0.559
27 Se 0.500 0.540 0.178
28 Se 0.500 0.766 0.768
29 Se 0.709 0.316 0.941
30 Se 0.791 0.684 0.441

Largest 10 diffraction maxima, sorted by position, 2θ from 5° to 70°:
2theta  Rel. int.
11.32  86.0
12.24  88.7
13.34  88.0
19.51  96.5
22.76  100.0
24.62  80.6
26.20  58.8
32.03  64.8
34.40  65.7
35.87  55.5

***

Entry 2:
# Sr2PmTaN4
Theoretical powder X-ray diffraction pattern, CuKα. Input: a GGA-PBE-relaxed structure.
Peak positions follow from Bragg's law for the DFT cell and can differ from measured ones.

Structure:
a b c (Å): 7.103 7.103 7.293
angles (deg): 120.88 120.88 60.72
Element x y z (fractional)
1 Sr 0.000 0.000 0.000
2 Sr 0.000 0.501 0.520
3 Sr 0.002 0.002 0.503
4 Sr 0.501 0.000 0.520
5 Pm 0.002 0.502 0.023
6 Pm 0.502 0.002 0.023
7 Ta 0.498 0.498 0.060
8 Ta 0.504 0.504 0.568
9 N 0.277 0.717 0.223
10 N 0.286 0.286 0.290
11 N 0.286 0.725 0.734
12 N 0.289 0.289 0.820
13 N 0.713 0.713 0.745
14 N 0.717 0.277 0.223
15 N 0.718 0.718 0.221
16 N 0.725 0.286 0.734

Largest 10 diffraction maxima, sorted by position, 2θ from 5° to 70°:
2theta  Rel. int.
15.27  27.2
28.92  20.9
30.50  95.1
30.81  100.0
35.07  96.7
36.47  46.7
50.86  17.8
51.50  60.6
59.92  23.2
60.47  29.5

***

Entry 3:
# Li6Mg5Al2
Theoretical powder X-ray diffraction pattern, CuKα. Input: a GGA-PBE-relaxed structure.
Peak positions follow from Bragg's law for the DFT cell and can differ from measured ones.

Structure:
a b c (Å): 8.073 8.073 8.073
angles (deg): 60.68 60.68 60.68
Element x y z (fractional)
1 Li 0.000 0.338 0.662
2 Li 0.000 0.662 0.338
3 Li 0.338 0.000 0.662
4 Li 0.338 0.662 0.000
5 Li 0.662 0.000 0.338
6 Li 0.662 0.338 0.000
7 Mg 0.080 0.080 0.080
8 Mg 0.228 0.228 0.228
9 Mg 0.500 0.500 0.500
10 Mg 0.772 0.772 0.772
11 Mg 0.920 0.920 0.920
12 Al 0.364 0.364 0.364
13 Al 0.636 0.636 0.636

Largest 10 diffraction maxima, sorted by position, 2θ from 5° to 70°:
2theta  Rel. int.
21.80  100.0
34.34  30.1
38.23  35.5
41.05  17.7
44.44  14.0
46.95  23.9
57.34  13.1
60.03  11.1
66.63  7.9
69.11  5.8

***

Entry 4:
# HgC2Se2N2
Theoretical powder X-ray diffraction pattern, CuKα. Input: a GGA-PBE-relaxed structure.
Peak positions follow from Bragg's law for the DFT cell and can differ from measured ones.

Structure:
a b c (Å): 6.100 4.456 13.276
angles (deg): 90.00 91.99 90.00
Element x y z (fractional)
1 Hg 0.000 0.000 0.000
2 Hg 0.000 0.500 0.500
3 C 0.446 0.238 0.621
4 C 0.446 0.262 0.121
5 C 0.554 0.738 0.879
6 C 0.554 0.762 0.379
7 Se 0.153 0.181 0.643
8 Se 0.153 0.319 0.143
9 Se 0.847 0.681 0.857
10 Se 0.847 0.819 0.357
11 N 0.364 0.733 0.388
12 N 0.364 0.767 0.888
13 N 0.636 0.233 0.112
14 N 0.636 0.267 0.612

Largest 10 diffraction maxima, sorted by position, 2θ from 5° to 70°:
2theta  Rel. int.
13.35  55.9
14.53  100.0
19.43  72.6
21.03  35.9
24.06  41.2
25.79  43.3
28.43  47.4
31.88  36.1
32.40  33.9
41.86  27.8